This entry pairs a crystal structure of Na3ScTaSi2PO12 with its theoretical X-ray powder pattern. Radiation: λ = 1.5418 Å (Cu Kα). Structure: DFT lattice parameters and positions (PBE).
Lines closer than 0.1° are merged.

Main lines, low angle first (2θ = 5–70°):
| two_theta | I_rel |
| --- | --- |
| 13.72 | 100.0 |
| 19.38 | 89.8 |
| 19.54 | 80.7 |
| 23.96 | 23.5 |
| 27.61 | 28.3 |
| 30.86 | 66.3 |
| 31.02 | 50.0 |
| 34.18 | 55.9 |
| 44.46 | 21.9 |
| 46.67 | 25.2 |

```
Na3ScTaSi2PO12
1.0
7.856 -4.550 0.000
7.856 4.550 0.000
-5.282 0.000 7.507
Na Sc Ta Si P O
6 2 2 4 2 24
direct
0.055 0.945 0.500
0.312 0.823 0.240
0.557 0.719 0.004
0.719 0.557 0.504
0.823 0.312 0.740
0.945 0.055 0.000
0.166 0.672 0.812
0.672 0.166 0.312
0.464 0.973 0.695
0.973 0.464 0.195
0.074 0.277 0.504
0.277 0.074 0.004
0.777 0.865 0.509
0.865 0.777 0.009
0.364 0.576 0.512
0.576 0.364 0.012
0.039 0.310 0.323
0.044 0.753 0.991
0.091 0.252 0.022
0.099 0.454 0.669
0.187 0.546 0.348
0.250 0.903 0.990
0.252 0.091 0.522
0.310 0.039 0.823
0.344 0.611 0.682
0.369 0.751 0.518
0.424 0.537 0.986
0.454 0.099 0.169
0.537 0.424 0.486
0.546 0.187 0.848
0.598 0.873 0.525
0.611 0.344 0.182
0.677 0.817 0.833
0.751 0.369 0.018
0.753 0.044 0.491
0.817 0.677 0.333
0.839 0.950 0.184
0.873 0.598 0.025
0.903 0.250 0.490
0.950 0.839 0.684
```